No. 1
Ca4TmPa3P8: theoretical powder diffraction line list (λ = 1.5418 Å (Cu Kα)), based on a DFT-relaxed cell (GGA-PBE, Alexandria).

Largest 8 diffraction maxima, in order of rising 2θ, 2θ from 15° to 90°:
d (Å)  Rel. int.
3.453  45
3.307  71
2.864  100
2.025  73
1.727  36
1.654  25
1.281  32
1.169  24

```
Ca4TmPa3P8
1.0
4.049 2.338 6.618
-4.049 2.338 6.618
0.000 -4.676 6.618
Ca Tm Pa P
4 1 3 8
direct
0.000 0.000 0.000
0.000 0.500 0.500
0.500 0.000 0.500
0.500 0.500 0.000
0.500 0.500 0.500
0.000 0.000 0.500
0.000 0.500 0.000
0.500 0.000 0.000
0.239 0.745 0.745
0.244 0.244 0.244
0.255 0.255 0.761
0.255 0.761 0.255
0.745 0.239 0.745
0.745 0.745 0.239
0.756 0.756 0.756
0.761 0.255 0.255
```

***

No. 2
CaYPa2P4: theoretical powder diffraction line list (λ = 1.5418 Å (Cu Kα)), based on a DFT-relaxed cell (GGA-PBE, Alexandria).

Largest 8 diffraction maxima, in order of rising 2θ, 2θ from 15° to 90°:
d (Å)  Rel. int.
5.059  69
3.269  100
2.844  42
2.824  82
2.004  61
1.997  30
1.704  33
1.634  32

```
CaYPa2P4
1.0
5.649 0.000 0.000
0.000 5.649 0.000
0.000 0.000 11.376
Ca Y Pa P
2 2 4 8
direct
0.000 0.000 0.000
0.500 0.500 0.500
0.000 0.500 0.750
0.500 0.000 0.250
0.000 0.000 0.500
0.000 0.500 0.250
0.500 0.000 0.750
0.500 0.500 0.000
0.000 0.000 0.256
0.000 0.000 0.744
0.000 0.500 0.004
0.000 0.500 0.496
0.500 0.000 0.504
0.500 0.000 0.996
0.500 0.500 0.244
0.500 0.500 0.756
```

***

No. 3
CaP6Pb: theoretical powder diffraction line list (λ = 1.5418 Å (Cu Kα)), based on a DFT-relaxed cell (GGA-PBE, Alexandria).

Largest 8 diffraction maxima, in order of rising 2θ, 2θ from 15° to 90°:
d (Å)  Rel. int.
5.279  100
3.733  29
3.183  31
2.639  34
2.422  16
2.361  50
1.866  23
1.760  25

```
CaP6Pb
1.0
0.000 5.279 5.279
5.279 0.000 5.279
5.279 5.279 0.000
Ca P Pb
1 6 1
direct
0.000 0.000 0.000
0.248 0.248 0.752
0.248 0.752 0.248
0.248 0.752 0.752
0.752 0.248 0.248
0.752 0.248 0.752
0.752 0.752 0.248
0.500 0.500 0.500
```

***

No. 4
Ca3P2Pd4Pb2: theoretical powder diffraction line list (λ = 1.5418 Å (Cu Kα)), based on a DFT-relaxed cell (GGA-PBE, Alexandria).

Largest 8 diffraction maxima, in order of rising 2θ, 2θ from 15° to 90°:
d (Å)  Rel. int.
3.863  34
3.717  27
2.947  53
2.561  83
2.231  100
1.682  23
1.343  22
1.288  21

```
Ca3P2Pd4Pb2
1.0
4.460 0.000 0.000
-2.230 3.863 0.000
0.000 0.000 13.680
Ca P Pd Pb
3 2 4 2
direct
0.000 0.000 0.000
0.000 0.000 0.253
0.000 0.000 0.747
0.333 0.667 0.152
0.667 0.333 0.848
0.333 0.667 0.346
0.333 0.667 0.865
0.667 0.333 0.135
0.667 0.333 0.654
0.333 0.667 0.568
0.667 0.333 0.432
```

***

No. 5
Ca2P7Pd12: theoretical powder diffraction line list (λ = 1.5418 Å (Cu Kα)), based on a DFT-relaxed cell (GGA-PBE, Alexandria).

Largest 8 diffraction maxima, in order of rising 2θ, 2θ from 15° to 90°:
d (Å)  Rel. int.
4.900  16
2.505  100
2.030  20
2.005  19
1.947  20
1.852  19
1.397  13
1.360  14

```
Ca2P7Pd12
1.0
9.800 0.000 0.000
-4.900 8.487 0.000
0.000 0.000 4.010
Ca P Pd
2 7 12
direct
0.333 0.667 0.249
0.667 0.333 0.751
0.000 0.000 0.000
0.119 0.412 0.748
0.294 0.881 0.748
0.412 0.294 0.252
0.588 0.706 0.748
0.706 0.119 0.252
0.881 0.588 0.252
0.062 0.622 0.750
0.104 0.853 0.260
0.147 0.251 0.260
0.251 0.104 0.740
0.378 0.440 0.750
0.440 0.062 0.250
0.560 0.938 0.750
0.622 0.560 0.250
0.749 0.896 0.260
0.853 0.749 0.740
0.896 0.147 0.740
0.938 0.378 0.250
```

***

No. 6
CaP3Pd5: theoretical powder diffraction line list (λ = 1.5418 Å (Cu Kα)), based on a DFT-relaxed cell (GGA-PBE, Alexandria).

Largest 8 diffraction maxima, in order of rising 2θ, 2θ from 15° to 90°:
d (Å)  Rel. int.
5.673  54
2.760  100
2.393  59
2.351  28
2.110  34
2.084  44
2.005  70
1.901  39

```
CaP3Pd5
1.0
1.901 -6.342 0.000
1.901 6.342 0.000
0.000 0.000 12.692
Ca P Pd
2 6 10
direct
0.146 0.854 0.750
0.854 0.146 0.250
0.125 0.875 0.250
0.388 0.612 0.045
0.388 0.612 0.455
0.612 0.388 0.545
0.612 0.388 0.955
0.875 0.125 0.750
0.000 0.000 0.000
0.000 0.000 0.500
0.213 0.787 0.082
0.213 0.787 0.418
0.444 0.556 0.646
0.444 0.556 0.854
0.556 0.444 0.146
0.556 0.444 0.354
0.787 0.213 0.582
0.787 0.213 0.918
```

***

No. 7
Ca5P6Pd6: theoretical powder diffraction line list (λ = 1.5418 Å (Cu Kα)), based on a DFT-relaxed cell (GGA-PBE, Alexandria).

Largest 8 diffraction maxima, in order of rising 2θ, 2θ from 15° to 90°:
d (Å)  Rel. int.
4.113  30
2.808  31
2.648  100
2.074  30
2.057  25
2.056  24
1.852  22
1.274  18

```
Ca5P6Pd6
1.0
8.227 0.000 0.000
0.000 4.111 0.000
0.000 0.000 19.218
Ca P Pd
10 12 12
direct
0.000 0.000 0.000
0.002 0.000 0.371
0.009 0.500 0.182
0.491 0.500 0.182
0.498 0.000 0.371
0.500 0.000 0.000
0.502 0.000 0.629
0.509 0.500 0.818
0.991 0.500 0.818
0.998 0.000 0.629
0.250 0.000 0.245
0.250 0.000 0.758
0.250 0.000 0.873
0.250 0.500 0.057
0.250 0.500 0.428
0.250 0.500 0.576
0.750 0.000 0.127
0.750 0.000 0.242
0.750 0.000 0.755
0.750 0.500 0.424
0.750 0.500 0.572
0.750 0.500 0.943
0.000 0.500 0.500
0.250 0.000 0.120
0.250 0.000 0.502
0.250 0.500 0.306
0.250 0.500 0.699
0.250 0.500 0.933
0.500 0.500 0.500
0.750 0.000 0.498
0.750 0.000 0.880
0.750 0.500 0.067
0.750 0.500 0.301
0.750 0.500 0.694
```

***

No. 8
Ca2PPd6: theoretical powder diffraction line list (λ = 1.5418 Å (Cu Kα)), based on a DFT-relaxed cell (GGA-PBE, Alexandria).

Largest 8 diffraction maxima, in order of rising 2θ, 2θ from 15° to 90°:
d (Å)  Rel. int.
3.701  14
2.726  27
2.520  19
2.288  100
1.851  23
1.474  15
1.455  17
1.284  14

```
Ca2PPd6
1.0
5.820 0.000 0.000
-2.910 5.040 0.000
0.000 0.000 5.453
Ca P Pd
2 1 6
direct
0.333 0.667 0.195
0.667 0.333 0.805
0.000 0.000 0.000
0.170 0.341 0.711
0.170 0.830 0.711
0.341 0.170 0.289
0.659 0.830 0.711
0.830 0.170 0.289
0.830 0.659 0.289
```

***

No. 9
Ca2PPd: theoretical powder diffraction line list (λ = 1.5418 Å (Cu Kα)), based on a DFT-relaxed cell (GGA-PBE, Alexandria).

Largest 8 diffraction maxima, in order of rising 2θ, 2θ from 15° to 90°:
d (Å)  Rel. int.
5.204  100
3.769  64
2.875  75
2.858  82
2.274  78
2.249  74
2.232  83
2.171  65

```
Ca2PPd
1.0
5.624 0.000 0.000
0.000 4.341 0.000
-2.512 0.000 7.594
Ca P Pd
4 2 2
direct
0.211 0.250 0.422
0.288 0.750 0.067
0.712 0.250 0.933
0.789 0.750 0.578
0.343 0.750 0.709
0.657 0.250 0.291
0.167 0.250 0.777
0.833 0.750 0.223
```

***

No. 10
CaP2Pd4: theoretical powder diffraction line list (λ = 1.5418 Å (Cu Kα)), based on a DFT-relaxed cell (GGA-PBE, Alexandria).

Largest 8 diffraction maxima, in order of rising 2θ, 2θ from 15° to 90°:
d (Å)  Rel. int.
5.543  52
2.555  100
2.479  39
2.225  49
2.065  52
1.901  39
1.867  27
1.332  23

```
CaP2Pd4
1.0
7.838 0.000 0.000
0.000 7.838 0.000
0.000 0.000 3.733
Ca P Pd
2 4 8
direct
0.000 0.000 0.000
0.500 0.500 0.500
0.228 0.228 0.500
0.272 0.728 0.000
0.728 0.272 0.000
0.772 0.772 0.500
0.074 0.679 0.500
0.179 0.426 0.000
0.321 0.926 0.500
0.426 0.179 0.000
0.574 0.821 0.000
0.679 0.074 0.500
0.821 0.574 0.000
0.926 0.321 0.500
```

***

No. 11
Ca3P4Pd7: theoretical powder diffraction line list (λ = 1.5418 Å (Cu Kα)), based on a DFT-relaxed cell (GGA-PBE, Alexandria).

Largest 8 diffraction maxima, in order of rising 2θ, 2θ from 15° to 90°:
d (Å)  Rel. int.
4.692  55
2.958  44
2.502  100
2.448  57
2.387  44
2.281  34
2.104  35
2.018  54

```
Ca3P4Pd7
1.0
7.737 -2.018 0.000
7.737 2.018 0.000
-5.427 0.000 7.662
Ca P Pd
3 4 7
direct
0.000 0.000 0.000
0.326 0.326 0.327
0.674 0.674 0.673
0.107 0.107 0.820
0.333 0.333 0.730
0.667 0.667 0.270
0.893 0.893 0.180
0.000 0.000 0.500
0.173 0.173 0.418
0.303 0.303 0.963
0.491 0.491 0.728
0.509 0.509 0.272
0.697 0.697 0.037
0.827 0.827 0.582
```

***

No. 12
CaPuP2Pd2: theoretical powder diffraction line list (λ = 1.5418 Å (Cu Kα)), based on a DFT-relaxed cell (GGA-PBE, Alexandria).

Largest 8 diffraction maxima, in order of rising 2θ, 2θ from 15° to 90°:
d (Å)  Rel. int.
3.273  54
2.653  100
2.116  18
2.079  44
1.961  12
1.636  23
1.427  25
1.286  21

```
CaPuP2Pd2
1.0
4.158 0.000 0.000
-2.079 3.601 0.000
0.000 0.000 7.843
Ca Pu P Pd
1 1 2 2
direct
0.000 0.000 0.000
0.000 0.000 0.500
0.333 0.667 0.728
0.667 0.333 0.272
0.333 0.667 0.246
0.667 0.333 0.754
```

***

Copy entry 12 word for word.
CaPuP2Pd2: theoretical powder diffraction line list (λ = 1.5418 Å (Cu Kα)), based on a DFT-relaxed cell (GGA-PBE, Alexandria).

Largest 8 diffraction maxima, in order of rising 2θ, 2θ from 15° to 90°:
d (Å)  Rel. int.
3.273  54
2.653  100
2.116  18
2.079  44
1.961  12
1.636  23
1.427  25
1.286  21

```
CaPuP2Pd2
1.0
4.158 0.000 0.000
-2.079 3.601 0.000
0.000 0.000 7.843
Ca Pu P Pd
1 1 2 2
direct
0.000 0.000 0.000
0.000 0.000 0.500
0.333 0.667 0.728
0.667 0.333 0.272
0.333 0.667 0.246
0.667 0.333 0.754
```

***

Please write out number 10 again, unchanged.
CaP2Pd4: theoretical powder diffraction line list (λ = 1.5418 Å (Cu Kα)), based on a DFT-relaxed cell (GGA-PBE, Alexandria).

Largest 8 diffraction maxima, in order of rising 2θ, 2θ from 15° to 90°:
d (Å)  Rel. int.
5.543  52
2.555  100
2.479  39
2.225  49
2.065  52
1.901  39
1.867  27
1.332  23

```
CaP2Pd4
1.0
7.838 0.000 0.000
0.000 7.838 0.000
0.000 0.000 3.733
Ca P Pd
2 4 8
direct
0.000 0.000 0.000
0.500 0.500 0.500
0.228 0.228 0.500
0.272 0.728 0.000
0.728 0.272 0.000
0.772 0.772 0.500
0.074 0.679 0.500
0.179 0.426 0.000
0.321 0.926 0.500
0.426 0.179 0.000
0.574 0.821 0.000
0.679 0.074 0.500
0.821 0.574 0.000
0.926 0.321 0.500
```